For ZrCu2Se2S, a GGA-PBE-relaxed structure gives the simulated powder diffraction line list in this record (Cu Ka).

Peak list (10 most intense, 10 to 90 degrees two-theta, sorted by position)
13.00 deg, I = 77; 14.81 deg, I = 56; 27.10 deg, I = 100; 31.09 deg, I = 68; 36.08 deg, I = 40; 41.11 deg, I = 42; 44.33 deg, I = 37; 46.08 deg, I = 88; 47.32 deg, I = 56; 49.09 deg, I = 36

Crystal structure
```
12
Lattice="9.663 -1.921 0.000 9.663 1.921 0.000 -1.027 0.000 6.808" Properties=species:S:1:pos:R:3 pbc="T T T"
Zr 2.788 0.000 0.275
Zr 15.511 0.000 6.533
Cu 3.539 0.000 3.009
Cu 7.873 0.000 5.688
Cu 10.426 0.000 1.120
Cu 14.760 0.000 3.799
Se 4.097 0.000 5.338
Se 7.941 0.000 1.213
Se 10.358 0.000 5.595
Se 14.202 0.000 1.470
S 1.371 0.000 2.269
S 16.928 0.000 4.539
```